Entry 1:
Diffraction record for BAsPbO5. The X-ray powder pattern is simulated, not measured: it uses a DFT-relaxed cell (GGA-PBE, Alexandria) and Cu Kα (λ = 1.5418 Å).
No peak broadening, texture or thermal motion is included.

Main lines, low angle first (2θ = 15–90°):
2θ 18.95, d 4.682, intensity 38
2θ 24.47, d 3.638, intensity 100
2θ 28.33, d 3.150, intensity 34
2θ 29.19, d 3.059, intensity 88
2θ 38.45, d 2.341, intensity 30
2θ 46.11, d 1.969, intensity 58

Crystal structure
```
BAsPbO5
1.0
7.2757 0.0000 0.0000
-3.6378 6.3009 0.0000
0.0000 0.0000 6.9978
B As Pb O
3 3 3 15
Cartesian
0.4341 0.5870 0.0000
6.5502 0.0825 2.3326
3.9291 5.6314 4.6652
-1.4602 2.5452 0.9995
-0.7036 6.2929 5.6647
2.1638 3.7638 3.3321
-1.4316 2.4999 4.4988
-0.7571 6.2908 2.1662
2.1887 3.8112 6.8314
0.3560 0.0725 1.3607
-0.1999 1.9806 6.8926
-0.9824 3.7089 2.1317
-1.8226 5.4837 4.5600
1.8808 0.9725 6.6919
0.9171 3.5957 4.4643
0.0654 5.2973 6.7969
2.4737 2.5025 2.2580
3.8716 0.8910 4.5906
2.0225 5.1374 2.2274
3.5396 4.1858 4.3593
5.4930 1.1426 2.0267
4.5682 2.9074 6.9232
3.5226 5.9564 6.0259
7.0349 0.2720 3.6933
```

Entry 2:
Diffraction record for BAs5Pb6O20. The X-ray powder pattern is simulated, not measured: it uses a DFT-relaxed cell (GGA-PBE, Alexandria) and Cu Kα (λ = 1.5418 Å).
No peak broadening, texture or thermal motion is included.

Main lines, low angle first (2θ = 15–90°):
2θ 19.25, d 4.610, intensity 62
2θ 25.91, d 3.439, intensity 61
2θ 26.11, d 3.413, intensity 48
2θ 28.69, d 3.111, intensity 63
2θ 30.06, d 2.973, intensity 100
2θ 43.98, d 2.059, intensity 34

Crystal structure
```
BAs5Pb6O20
1.0
7.3022 0.0000 0.0000
0.0000 7.3022 0.0000
0.0000 0.0000 10.2397
B As Pb O
1 5 6 20
Cartesian
0.0000 0.0000 0.0000
1.4230 1.4245 2.1827
1.4245 5.8792 8.0570
3.6511 3.6511 5.1199
5.8776 1.4230 8.0570
5.8792 5.8776 2.1827
0.0000 3.6511 5.1026
2.0867 5.0212 1.9323
2.2809 2.0867 8.3074
3.6511 0.0000 5.1371
5.0212 5.2155 8.3074
5.2155 2.2809 1.9323
0.0176 2.0466 7.4013
0.3176 2.2409 3.2017
0.3488 1.2036 0.7832
1.2036 6.9534 9.4565
2.0466 7.2846 2.8385
2.2409 6.9845 7.0380
2.4590 4.6178 8.5937
2.4949 4.5990 4.2491
2.6844 2.4590 1.6460
2.7032 2.4949 5.9906
4.5990 4.8073 5.9906
4.6178 4.8431 1.6460
4.8073 2.7032 4.2491
4.8431 2.6844 8.5937
5.0613 0.3176 7.0380
5.2555 0.0176 2.8385
6.0986 0.3488 9.4565
6.9534 6.0986 0.7832
6.9845 5.0613 3.2017
7.2846 5.2555 7.4013
```

Entry 3:
Diffraction record for PmBAs2O8. The X-ray powder pattern is simulated, not measured: it uses a DFT-relaxed cell (GGA-PBE, Alexandria) and Cu Kα (λ = 1.5418 Å).
No peak broadening, texture or thermal motion is included.

Main lines, low angle first (2θ = 15–90°):
2θ 24.32, d 3.660, intensity 100
2θ 34.66, d 2.588, intensity 100
2θ 37.56, d 2.395, intensity 26
2θ 49.83, d 1.830, intensity 22
2θ 56.25, d 1.635, intensity 25
2θ 62.16, d 1.493, intensity 30

Crystal structure
```
PmBAs2O8
1.0
5.1705 0.0000 0.0000
-2.5852 4.4777 0.0000
0.0000 0.0000 6.3543
Pm B As O
1 1 2 8
Cartesian
0.0000 0.0000 0.0000
0.0000 0.0000 3.1771
0.0000 2.9852 1.6908
2.5852 1.4926 4.6634
0.0000 1.3218 2.1009
-1.4405 3.8169 2.1009
1.1447 0.6609 4.2533
0.0000 2.9852 6.3417
2.5852 1.4926 0.0126
1.4405 3.8169 2.1009
4.0258 0.6609 4.2533
2.5852 3.1560 4.2533
```

Entry 4:
Diffraction record for BAsPb. The X-ray powder pattern is simulated, not measured: it uses a DFT-relaxed cell (GGA-PBE, Alexandria) and Cu Kα (λ = 1.5418 Å).
No peak broadening, texture or thermal motion is included.

Main lines, low angle first (2θ = 15–90°):
2θ 26.36, d 3.381, intensity 55
2θ 27.98, d 3.189, intensity 100
2θ 38.02, d 2.367, intensity 24
2θ 38.82, d 2.320, intensity 88
2θ 46.84, d 1.940, intensity 30
2θ 50.17, d 1.818, intensity 22

Crystal structure
```
BAsPb
1.0
-2.1571 2.3669 6.7615
2.1571 -2.3669 6.7615
2.1571 2.3669 -6.7615
B As Pb
2 2 2
Cartesian
0.8141 0.0000 0.0000
3.5002 0.0000 0.0000
2.1571 0.0000 1.6149
0.0000 2.3669 5.1466
2.1571 0.0000 5.0433
0.0000 2.3669 1.7182
```